Diffraction record for TiNCl. The XRD peak list is calculated, not measured: it uses a cell relaxed with PBE and Cu Kα (weighted mean of Kα1 and Kα2).

Top 12 peaks for 15 to 90 degrees two-theta, sorted by position:
2theta, intensity, index
24.73, 1000, 0 1 1
34.43, 677, 1 0 2
37.10, 315, 1 1 1
41.48, 195, 1 1 2
41.91, 397, 1 0 3
45.76, 241, 0 2 0
48.04, 175, 1 1 3
48.20, 162, 0 1 4
56.18, 217, 2 0 0
58.50, 239, 1 2 2
62.26, 117, 2 1 1
63.78, 192, 1 2 3

Cell and atoms:
abc: 3.2765 3.9654 8.5881
angles: 90.00 90.00 90.00
Space group Pmmn (No. 59, origin choice 2)
Inequivalent atoms, fractional coordinates:
Ti1 0.2500 0.2500 0.0898 x2
N1 0.2500 0.7500 0.0443 x2
Cl1 0.2500 0.7500 0.6956 x2

=====

Diffraction record for Ti4Cu4Pd3. The XRD peak list is calculated, not measured: it uses a cell relaxed with PBE and Cu Kα (weighted mean of Kα1 and Kα2).

Top 12 peaks for 15 to 90 degrees two-theta, sorted by position:
2theta, intensity, index
23.42, 106, 0 0 8
25.53, 159, 0 1 3
40.22, 1000, 1 1 0
40.69, 941, 0 1 11
46.06, 649, 1 0 11
49.03, 274, 0 2 0
66.52, 103, 2 0 0
69.54, 351, 1 2 11
80.98, 225, 2 1 11
81.91, 206, 1 1 22
85.71, 100, 1 3 0
86.90, 98, 2 2 0

Cell and atoms:
abc: 2.8115 3.7157 30.3925
angles: 90.00 90.00 90.00
Space group Immm (No. 71)
Inequivalent atoms, fractional coordinates:
Ti1 0.0000 0.0000 0.0494 x4
Ti2 0.0000 0.0000 0.3161 x4
Cu1 0.0000 0.0000 0.2302 x4
Cu2 0.0000 0.0000 0.4071 x4
Pd1 0.0000 0.0000 0.1382 x4
Pd2 0.0000 0.0000 0.5000 x2

=====

Diffraction record for La3Ti2N3O4. The XRD peak list is calculated, not measured: it uses a cell relaxed with PBE and Cu Kα (weighted mean of Kα1 and Kα2).

Top 12 peaks for 15 to 90 degrees two-theta, sorted by position:
2theta, intensity, index
22.60, 192, 0 1 1
23.25, 203, 1 0 1
25.73, 279, 0 0 6
31.01, 795, 0 1 5
31.50, 720, 1 0 5
32.06, 1000, 1 1 0
41.56, 463, 1 1 6
45.27, 309, 0 2 0
46.67, 259, 2 0 0
55.12, 187, 1 1 10
56.19, 282, 1 2 5
57.09, 284, 2 1 5

Cell and atoms:
abc: 3.8926 4.0067 20.7677
angles: 90.00 90.00 90.00
Space group Immm (No. 71)
Inequivalent atoms, fractional coordinates:
La1 0.0000 0.0000 0.0000 x2
La2 0.0000 0.0000 0.1821 x4
Ti1 0.0000 0.0000 0.4067 x4
N1 0.0000 0.0000 0.5000 x2
N2 0.0000 0.5000 0.3992 x4
O1 0.0000 0.0000 0.2952 x4
O2 0.0000 0.5000 0.1038 x4

=====

Diffraction record for Pr2Bi3Rh4. The XRD peak list is calculated, not measured: it uses a cell relaxed with PBE and Cu Kα (weighted mean of Kα1 and Kα2).

Top 12 peaks for 15 to 90 degrees two-theta, sorted by position:
2theta, intensity, index
26.00, 325, 0 2 2
30.18, 277, 2 2 0
31.91, 217, 0 6 0
32.38, 628, 1 5 1
32.51, 321, 2 2 1
35.49, 195, 2 4 0
37.18, 1000, 2 0 2
37.51, 257, 0 2 3
40.10, 453, 0 6 2
41.93, 184, 1 7 1
43.09, 392, 2 6 0
66.87, 316, 2 6 4

Cell and atoms:
abc: 6.3255 16.8509 7.5042
angles: 90.00 90.00 90.00
Space group Cmce (No. 64)
Inequivalent atoms, fractional coordinates:
Pr1 0.0000 0.1003 0.0871 x8
Bi1 0.0000 0.0000 0.5000 x4
Bi2 0.2500 0.2381 0.7500 x8
Rh1 0.0000 0.1649 0.4809 x8
Rh2 0.2500 0.0718 0.7500 x8

=====

Diffraction record for Al7Rh5. The XRD peak list is calculated, not measured: it uses a cell relaxed with PBE and Cu Kα (weighted mean of Kα1 and Kα2).

Top 12 peaks for 15 to 90 degrees two-theta, sorted by position:
2theta, intensity, index
22.58, 267, 0 1 0
31.99, 303, 1 1 1
36.53, 149, 2 1 -1
36.67, 146, 1 0 -3
39.95, 1000, 2 1 -2
40.79, 927, 1 1 2
45.24, 368, 3 0 0
46.09, 392, 0 2 0
49.48, 188, 1 0 -4
66.57, 233, 3 2 0
69.93, 131, 1 2 -4
81.17, 127, 2 3 -2

Cell and atoms:
abc: 6.3438 3.9381 7.3718
angles: 90.00 108.57 90.00
Space group P2/m (No. 10)
Inequivalent atoms, fractional coordinates:
Al1 0.0000 0.0000 0.0000 x1
Al2 0.3105 0.0000 0.3616 x2
Al3 0.3180 0.0000 0.8084 x2
Al4 0.3355 0.5000 0.0941 x2
Rh1 0.0000 0.0000 0.5000 x1
Rh2 0.0030 0.5000 0.7904 x2
Rh3 0.3477 0.5000 0.6042 x2

=====

Diffraction record for Rb3Cu2AuCl9. The XRD peak list is calculated, not measured: it uses a cell relaxed with PBE and Cu Kα (weighted mean of Kα1 and Kα2).

Top 12 peaks for 15 to 90 degrees two-theta, sorted by position:
2theta, intensity, index
17.80, 242, 1 0 1
25.27, 1000, 1 1 0
31.09, 127, 0 0 3
36.05, 696, 2 0 2
40.48, 106, 2 1 1
44.54, 455, 3 0 0
51.90, 450, 2 2 0
58.58, 209, 3 1 2
64.81, 150, 0 4 2
70.74, 231, 4 1 0
82.05, 115, 3 3 0
87.56, 200, 4 2 2

Cell and atoms:
abc: 7.0441 7.0441 8.6390
angles: 90.00 90.00 120.00
Space group P-3m1 (No. 164)
Inequivalent atoms, fractional coordinates:
Rb1 0.0000 0.0000 0.0000 x1
Rb2 0.3333 0.6667 0.6712 x2
Cu1 0.3333 0.6667 0.1586 x2
Au1 0.0000 0.0000 0.5000 x1
Cl1 0.0000 0.5000 0.0000 x3
Cl2 0.1717 0.3433 0.3279 x6

=====

Diffraction record for Pm5Dy12Ho2. The XRD peak list is calculated, not measured: it uses a cell relaxed with PBE and Cu Kα (weighted mean of Kα1 and Kα2).

Top 12 peaks for 15 to 90 degrees two-theta, sorted by position:
2theta, intensity, index
30.66, 335, 0 3 -2
30.70, 1000, 1 0 3
35.58, 676, 1 3 1
51.20, 482, 3 1 2
60.86, 287, 4 -1 0
60.92, 286, 3 4 0
63.93, 124, 2 0 6
75.32, 51, 4 -4 2
83.44, 99, 2 7 -5
83.56, 138, 5 2 1
86.14, 93, 0 8 1
86.24, 129, 4 4 3

Cell and atoms:
abc: 6.1787 9.4476 10.7010
angles: 100.98 95.51 90.07
Space group P-1 (No. 2)
Inequivalent atoms, fractional coordinates:
Pm1 0.0000 0.0000 0.0000 x1
Pm2 0.1579 0.6314 0.9466 x2
Pm3 0.2633 0.0528 0.5788 x2
Dy1 0.0535 0.2121 0.3168 x2
Dy2 0.1048 0.4215 0.6306 x2
Dy3 0.2106 0.8409 0.2634 x2
Dy4 0.3169 0.2632 0.8949 x2
Dy5 0.3691 0.4734 0.2120 x2
Dy6 0.4743 0.8941 0.8414 x2
Ho1 0.4203 0.6824 0.5263 x2

=====

Diffraction record for SrSc4Te6. The XRD peak list is calculated, not measured: it uses a cell relaxed with PBE and Cu Kα (weighted mean of Kα1 and Kα2).

Top 12 peaks for 15 to 90 degrees two-theta, sorted by position:
2theta, intensity, index
25.19, 200, 1 1 3
27.45, 475, 1 1 4
27.73, 967, 0 2 6
28.97, 490, 1 3 1
29.84, 1000, 1 3 2
31.25, 460, 1 3 3
42.48, 231, 1 5 4
42.72, 604, 2 0 0
43.51, 240, 1 1 9
44.36, 256, 1 5 5
51.12, 284, 1 3 10
51.71, 340, 2 2 6

Cell and atoms:
abc: 4.2311 13.7915 21.8272
angles: 90.00 90.00 90.00
Space group Cmcm (No. 63)
Inequivalent atoms, fractional coordinates:
Sr1 0.0000 0.1570 0.2500 x4
Sc1 0.0000 0.0923 0.6251 x8
Sc2 0.0000 0.3585 0.5364 x8
Te1 0.0000 0.0000 0.0000 x4
Te2 0.0000 0.1623 0.7500 x4
Te3 0.0000 0.2684 0.0869 x8
Te4 0.0000 0.4553 0.6556 x8